Record 1
# LiTcBi
Theoretical powder diffractogram, copper Kα. Input: a DFT-relaxed cell (PBE, Alexandria).
Peak positions follow from Bragg's law for the DFT cell and can differ from measured ones.

Cell and atoms:
Unit cell a=9.0495 b=3.7810 c=7.7079 alpha=90.00 beta=111.63 gamma=90.00
Space group C2/m (No. 12)
Unique sites:
Li1 0.0000 0.0000 0.0000 [2 per cell]
Li2 0.0000 0.0000 0.5000 [2 per cell]
Tc1 0.1921 0.5000 0.4020 [4 per cell]
Bi1 0.1574 0.5000 0.7837 [4 per cell]

Most intense lines, 15° ≤ 2θ ≤ 90°, by angle:
h k l  2θ/deg  Rel. int.
2 0 0  21.1  544
0 0 2  24.9  346
1 1 0  25.8  598
1 1 -1  26.9  366
2 0 1  28.3  417
1 1 -2  33.2  1000
2 0 -3  35.7  376
3 1 0  40.0  827
4 0 -2  41.0  373
1 1 3  49.6  411

Record 2
# SrB2H6
Theoretical powder diffractogram, copper Kα. Input: a DFT-relaxed cell (PBE, Alexandria).
Peak positions follow from Bragg's law for the DFT cell and can differ from measured ones.

Cell and atoms:
Unit cell a=4.5555 b=4.5555 c=16.0008 alpha=90.00 beta=90.00 gamma=120.00
Space group R3m (No. 160, hexagonal axes)
Unique sites:
Sr1 0.0000 0.0000 0.0000 [3 per cell]
B1 0.0000 0.0000 0.6110 [3 per cell]
B2 0.0000 0.0000 0.7246 [3 per cell]
H1 0.1897 0.3794 0.2468 [9 per cell]
H2 0.1896 0.3791 0.4219 [9 per cell]

Most intense lines, 15° ≤ 2θ ≤ 90°, by angle:
h k l  2θ/deg  Rel. int.
0 0 3  16.6  1000
1 0 1  23.2  875
0 1 2  25.2  761
1 0 4  31.9  509
0 1 5  36.1  393
1 1 0  39.6  363
1 1 3  43.2  499
1 0 7  45.9  210
1 1 6  52.9  204
1 0 10  62.6  198

Record 3
# KPaI5
Theoretical powder diffractogram, copper Kα. Input: a DFT-relaxed cell (PBE, Alexandria).
Peak positions follow from Bragg's law for the DFT cell and can differ from measured ones.

Cell and atoms:
Unit cell a=13.9112 b=9.5948 c=12.2224 alpha=90.00 beta=113.76 gamma=90.00
Space group C2/c (No. 15)
Unique sites:
K1 0.0000 0.0337 0.2500 [4 per cell]
Pa1 0.0000 0.5000 0.0000 [4 per cell]
I1 0.0000 0.4257 0.2500 [4 per cell]
I2 0.0783 0.2073 0.9974 [8 per cell]
I3 0.2200 0.3977 0.6204 [8 per cell]

Most intense lines, 15° ≤ 2θ ≤ 90°, by angle:
h k l  2θ/deg  Rel. int.
0 0 2  15.8  685
1 1 -2  17.2  961
2 2 -1  22.6  1000
1 1 -3  23.9  488
3 1 1  26.9  787
1 3 -1  29.1  533
2 0 -4  29.3  891
4 2 0  33.8  470
1 3 2  34.4  470
2 0 4  40.1  683

Please write out number 2 again, unchanged.
# SrB2H6
Theoretical powder diffractogram, copper Kα. Input: a DFT-relaxed cell (PBE, Alexandria).
Peak positions follow from Bragg's law for the DFT cell and can differ from measured ones.

Cell and atoms:
Unit cell a=4.5555 b=4.5555 c=16.0008 alpha=90.00 beta=90.00 gamma=120.00
Space group R3m (No. 160, hexagonal axes)
Unique sites:
Sr1 0.0000 0.0000 0.0000 [3 per cell]
B1 0.0000 0.0000 0.6110 [3 per cell]
B2 0.0000 0.0000 0.7246 [3 per cell]
H1 0.1897 0.3794 0.2468 [9 per cell]
H2 0.1896 0.3791 0.4219 [9 per cell]

Most intense lines, 15° ≤ 2θ ≤ 90°, by angle:
h k l  2θ/deg  Rel. int.
0 0 3  16.6  1000
1 0 1  23.2  875
0 1 2  25.2  761
1 0 4  31.9  509
0 1 5  36.1  393
1 1 0  39.6  363
1 1 3  43.2  499
1 0 7  45.9  210
1 1 6  52.9  204
1 0 10  62.6  198